Structure and computed powder diffractogram of AcSc2Te4 (a PBE-relaxed structure; Cu Kα (λ = 1.5418 Å)).

Principal peaks in the range 2θ from 5° to 70°, in order of falling intensity:
| 2θ (°) | I (rel.) |
| --- | --- |
| 28.9 | 100 |
| 28.3 | 63 |
| 30.8 | 58 |
| 27.7 | 56 |
| 37.7 | 34 |
| 41.5 | 29 |
| 28.6 | 23 |
| 43.4 | 23 |
| 14.2 | 21 |
| 52.6 | 21 |

Structure:
a b c (Å): 4.352 13.832 14.574
angles (deg): 90.00 90.00 90.00
Space group Cmcm (No. 63)
Unique sites:
1 Ac 0.000 0.121 0.250 x4
2 Sc 0.000 0.373 0.062 x8
3 Te 0.000 0.000 0.000 x4
4 Te 0.000 0.267 0.612 x8
5 Te 0.000 0.440 0.250 x4